Theoretical powder diffraction line list
Compound: Zn2Cu3Au8
Radiation: Cu Kα X-rays
Structure: a PBE-relaxed structure
Neutral-atom scattering factors, no anomalous dispersion.

Cell and atoms:
Cell: 8.187 14.729 3.855 Å, 90.00 90.00 90.00°
Space group Cmmm (No. 65)
Symmetry-distinct sites (fractional):
Zn (0.000, 0.245, 0.000) x4
Cu (0.000, 0.500, 0.000) x2
Cu (0.241, 0.500, 0.500) x4
Au (0.000, 0.113, 0.500) x4
Au (0.000, 0.372, 0.500) x4
Au (0.249, 0.129, 0.000) x8

Most intense lines, 2θ = 5–70°, low angle first:
24.2 deg, 3.682 Å, rel. 37, (0 4 0); 31.9 deg, 2.806 Å, rel. 39, (2 0 1); 40.4 deg, 2.232 Å, rel. 100, (2 4 1); 44.3 deg, 2.047 Å, rel. 20, (4 0 0); 47.1 deg, 1.928 Å, rel. 17, (0 0 2); 49.5 deg, 1.841 Å, rel. 13, (0 8 0); 51.1 deg, 1.789 Å, rel. 11, (4 4 0); 60.1 deg, 1.539 Å, rel. 12, (2 8 1); 66.6 deg, 1.403 Å, rel. 12, (4 0 2); 68.6 deg, 1.369 Å, rel. 10, (4 8 0)